For TlCo15, a structure optimized by DFT (GGA-PBE) gives the simulated powder diffractogram in this record (Cu Ka).

Crystal structure
```
data_TlCo15
_chemical_formula_sum 'Tl2 Co30'
_space_group_name_H-M_alt 'P m m 2'
_space_group_IT_number 25
_cell_length_a 3.5047
_cell_length_b 3.5049
_cell_length_c 41.1245
_cell_angle_alpha 90.00
_cell_angle_beta 90.00
_cell_angle_gamma 90.00
loop_
_space_group_symop_operation_xyz
'x,y,z'
'-x,-y,z'
'-x,y,z'
'x,-y,z'
loop_
_atom_site_label
_atom_site_type_symbol
_atom_site_fract_x
_atom_site_fract_y
_atom_site_fract_z
_atom_site_occupancy
Tl1 Tl 0.0000 0.0000 0.0000 1
Tl2 Tl 0.0000 0.5000 0.3188 1
Co1 Co 0.0000 0.0000 0.3843 1
Co2 Co 0.0000 0.0000 0.4691 1
Co3 Co 0.0000 0.0000 0.5537 1
Co4 Co 0.0000 0.0000 0.6382 1
Co5 Co 0.0000 0.0000 0.7227 1
Co6 Co 0.0000 0.0000 0.8072 1
Co7 Co 0.0000 0.0000 0.8924 1
Co8 Co 0.0000 0.5000 0.4261 1
Co9 Co 0.0000 0.5000 0.5113 1
Co10 Co 0.0000 0.5000 0.5958 1
Co11 Co 0.0000 0.5000 0.6803 1
Co12 Co 0.0000 0.5000 0.7648 1
Co13 Co 0.0000 0.5000 0.8494 1
Co14 Co 0.0000 0.5000 0.9342 1
Co15 Co 0.5000 0.0000 0.3452 1
Co16 Co 0.5000 0.0000 0.4272 1
Co17 Co 0.5000 0.0000 0.5115 1
Co18 Co 0.5000 0.0000 0.5959 1
Co19 Co 0.5000 0.0000 0.6804 1
Co20 Co 0.5000 0.0000 0.7648 1
Co21 Co 0.5000 0.0000 0.8494 1
Co22 Co 0.5000 0.0000 0.9342 1
Co23 Co 0.5000 0.5000 0.3843 1
Co24 Co 0.5000 0.5000 0.4691 1
Co25 Co 0.5000 0.5000 0.5536 1
Co26 Co 0.5000 0.5000 0.6381 1
Co27 Co 0.5000 0.5000 0.7226 1
Co28 Co 0.5000 0.5000 0.8070 1
Co29 Co 0.5000 0.5000 0.8913 1
Co30 Co 0.5000 0.5000 0.9734 1
```

Largest 10 diffraction maxima, low angle first, 10° ≤ 2θ ≤ 90°:
d [Å]	intensity
8.225	13.8
6.854	19.4
2.373	13.3
2.232	19.0
2.066	94.5
2.008	100.0
1.752	71.9
1.714	14.3
1.239	20.8
1.225	15.9

For Be8Nb, a structure optimized by DFT (GGA-PBE) gives the simulated powder diffractogram in this record (Cu Ka).

Crystal structure
```
data_Be8Nb
_chemical_formula_sum 'Be8 Nb1'
_space_group_name_H-M_alt 'P 6/m m m'
_space_group_IT_number 191
_space_group_name_Hall '-P 6 2'
_cell_length_a 7.8210
_cell_length_b 7.8210
_cell_length_c 2.2242
_cell_angle_alpha 90.00
_cell_angle_beta 90.00
_cell_angle_gamma 120.00
loop_
_atom_site_label
_atom_site_type_symbol
_atom_site_fract_x
_atom_site_fract_y
_atom_site_fract_z
_atom_site_occupancy
Be1 Be 0.1742 0.3485 0.0000 1
Be2 Be 0.3333 0.6667 0.0000 1
Nb1 Nb 0.0000 0.0000 0.5000 1
```

Largest 10 diffraction maxima, low angle first, 10° ≤ 2θ ≤ 90°:
d [Å]	intensity
6.773	100.0
3.910	29.4
3.387	10.5
2.560	20.3
2.113	11.0
1.955	9.0
1.933	8.0
1.879	7.0
1.859	10.9
1.679	9.4

For InAgGeTeSe2, a structure optimized by DFT (GGA-PBE) gives the simulated powder diffractogram in this record (Cu Ka).

Crystal structure
```
data_InAgGeTeSe2
_chemical_formula_sum 'In4 Ag4 Ge4 Te4 Se8'
_space_group_name_H-M_alt 'C m c m'
_space_group_IT_number 63
_space_group_name_Hall '-C 2c 2'
_cell_length_a 4.0772
_cell_length_b 13.0631
_cell_length_c 11.2215
_cell_angle_alpha 90.00
_cell_angle_beta 90.00
_cell_angle_gamma 90.00
loop_
_atom_site_label
_atom_site_type_symbol
_atom_site_fract_x
_atom_site_fract_y
_atom_site_fract_z
_atom_site_occupancy
In1 In 0.0000 0.2165 0.2500 1
Ag1 Ag 0.0000 0.1238 0.7500 1
Ge1 Ge 0.0000 0.5000 0.0000 1
Te1 Te 0.0000 0.4553 0.7500 1
Se1 Se 0.0000 0.1395 0.5218 1
```

Largest 10 diffraction maxima, low angle first, 10° ≤ 2θ ≤ 90°:
d [Å]	intensity
5.613	18.9
2.976	100.0
2.877	72.1
2.805	69.0
2.329	28.6
2.137	26.3
2.040	90.6
1.792	22.7
1.649	27.2
1.475	15.5

For Gd3Er2Mg3, a structure optimized by DFT (GGA-PBE) gives the simulated powder diffractogram in this record (Cu Ka).

Crystal structure
```
data_Gd3Er2Mg3
_chemical_formula_sum 'Gd3 Er2 Mg3'
_space_group_name_H-M_alt 'P -6 m 2'
_space_group_IT_number 187
_space_group_name_Hall 'P -6 2'
_cell_length_a 6.9062
_cell_length_b 6.9062
_cell_length_c 5.5958
_cell_angle_alpha 90.00
_cell_angle_beta 90.00
_cell_angle_gamma 120.00
loop_
_atom_site_label
_atom_site_type_symbol
_atom_site_fract_x
_atom_site_fract_y
_atom_site_fract_z
_atom_site_occupancy
Gd1 Gd 0.0031 0.5016 0.0000 1
Er1 Er 0.0000 0.0000 0.0000 1
Er2 Er 0.3333 0.6667 0.5000 1
Mg1 Mg 0.3405 0.1702 0.5000 1
```

Largest 10 diffraction maxima, low angle first, 10° ≤ 2θ ≤ 90°:
d [Å]	intensity
5.596	25.8
2.990	34.9
2.798	24.5
2.637	100.0
2.043	23.9
1.727	17.7
1.583	21.3
1.469	20.7
1.445	15.6
1.108	13.7

For TmHfCSe, a structure optimized by DFT (GGA-PBE) gives the simulated powder diffractogram in this record (Cu Ka).

Crystal structure
```
data_TmHfCSe
_chemical_formula_sum 'Tm2 Hf2 C2 Se2'
_space_group_name_H-M_alt 'P -3 m 1'
_space_group_IT_number 164
_space_group_name_Hall '-P 3 2"'
_cell_length_a 3.5495
_cell_length_b 3.5495
_cell_length_c 12.8104
_cell_angle_alpha 90.00
_cell_angle_beta 90.00
_cell_angle_gamma 120.00
loop_
_atom_site_label
_atom_site_type_symbol
_atom_site_fract_x
_atom_site_fract_y
_atom_site_fract_z
_atom_site_occupancy
Tm1 Tm 0.3333 0.6667 0.3984 1
Hf1 Hf 0.3333 0.6667 0.0911 1
C1 C 0.0000 0.0000 0.0000 1
C2 C 0.0000 0.0000 0.5000 1
Se1 Se 0.3333 0.6667 0.7636 1
```

Largest 10 diffraction maxima, low angle first, 10° ≤ 2θ ≤ 90°:
d [Å]	intensity
3.074	28.1
2.989	13.1
2.495	100.0
2.135	10.8
1.775	26.9
1.754	10.3
1.572	8.6
1.446	18.5
1.365	15.7
1.121	16.8

For TbTlGa, a structure optimized by DFT (GGA-PBE) gives the simulated powder diffractogram in this record (Cu Ka).

Crystal structure
```
data_TbTlGa
_chemical_formula_sum 'Tb4 Tl4 Ga4'
_space_group_name_H-M_alt 'C m m m'
_space_group_IT_number 65
_space_group_name_Hall '-C 2 2'
_cell_length_a 4.4292
_cell_length_b 14.5377
_cell_length_c 4.5675
_cell_angle_alpha 90.00
_cell_angle_beta 90.00
_cell_angle_gamma 90.00
loop_
_atom_site_label
_atom_site_type_symbol
_atom_site_fract_x
_atom_site_fract_y
_atom_site_fract_z
_atom_site_occupancy
Tb1 Tb 0.0000 0.1592 0.0000 1
Tl1 Tl 0.0000 0.0000 0.5000 1
Tl2 Tl 0.0000 0.5000 0.0000 1
Ga1 Ga 0.0000 0.3104 0.5000 1
```

Largest 10 diffraction maxima, low angle first, 10° ≤ 2θ ≤ 90°:
d [Å]	intensity
2.658	100.0
2.423	17.2
2.284	17.0
2.215	15.5
1.662	11.1
1.590	11.1
1.440	11.4
1.380	13.3
1.349	12.3
1.329	10.4

For Na2ZrTaGa2Ir2, a structure optimized by DFT (GGA-PBE) gives the simulated powder diffractogram in this record (Cu Ka).

Crystal structure
```
data_Na2ZrTaGa2Ir2
_chemical_formula_sum 'Na2 Zr1 Ta1 Ga2 Ir2'
_space_group_name_H-M_alt 'P -4 m 2'
_space_group_IT_number 115
_cell_length_a 4.5327
_cell_length_b 4.5327
_cell_length_c 6.4221
_cell_angle_alpha 90.00
_cell_angle_beta 90.00
_cell_angle_gamma 90.00
loop_
_space_group_symop_operation_xyz
'x,y,z'
'y,-x,-z'
'-x,-y,z'
'-y,x,-z'
'-x,y,z'
'-y,-x,-z'
'x,-y,z'
'y,x,-z'
loop_
_atom_site_label
_atom_site_type_symbol
_atom_site_fract_x
_atom_site_fract_y
_atom_site_fract_z
_atom_site_occupancy
Na1 Na 0.0000 0.5000 0.2492 1
Zr1 Zr 0.0000 0.0000 0.0000 1
Ta1 Ta 0.5000 0.5000 0.5000 1
Ga1 Ga 0.0000 0.0000 0.5000 1
Ga2 Ga 0.5000 0.5000 0.0000 1
Ir1 Ir 0.0000 0.5000 0.7336 1
```

Largest 10 diffraction maxima, low angle first, 10° ≤ 2θ ≤ 90°:
d [Å]	intensity
6.422	4.5
3.703	42.3
2.268	100.0
1.934	21.3
1.606	5.3
1.603	11.4
1.471	8.8
1.309	33.2
1.234	5.2
1.134	10.5

For Co4SnPd3, a structure optimized by DFT (GGA-PBE) gives the simulated powder diffractogram in this record (Cu Ka).

Crystal structure
```
data_Co4SnPd3
_chemical_formula_sum 'Co16 Sn4 Pd12'
_space_group_name_H-M_alt 'P 3 m 1'
_space_group_IT_number 156
_cell_length_a 5.4204
_cell_length_b 5.4204
_cell_length_c 17.4404
_cell_angle_alpha 90.00
_cell_angle_beta 90.00
_cell_angle_gamma 120.00
loop_
_space_group_symop_operation_xyz
'x,y,z'
'-y,x-y,z'
'-x+y,-x,z'
'-y,-x,z'
'-x+y,y,z'
'x,x-y,z'
loop_
_atom_site_label
_atom_site_type_symbol
_atom_site_fract_x
_atom_site_fract_y
_atom_site_fract_z
_atom_site_occupancy
Co1 Co 0.0000 0.0000 0.9999 1
Co2 Co 0.0000 0.0000 0.3277 1
Co3 Co 0.0041 0.5020 0.3249 1
Co4 Co 0.0148 0.5074 0.0000 1
Co5 Co 0.1645 0.3290 0.2190 1
Co6 Co 0.3333 0.6667 0.1084 1
Co7 Co 0.3354 0.1677 0.1061 1
Co8 Co 0.6667 0.3333 0.2188 1
Sn1 Sn 0.0000 0.0000 0.5929 1
Sn2 Sn 0.3333 0.6667 0.7332 1
Sn3 Sn 0.6667 0.3333 0.4562 1
Sn4 Sn 0.6667 0.3333 0.8708 1
Pd1 Pd 0.0003 0.5001 0.5928 1
Pd2 Pd 0.1656 0.3312 0.8734 1
Pd3 Pd 0.1673 0.3346 0.4509 1
Pd4 Pd 0.3333 0.1667 0.7325 1
```

Largest 10 diffraction maxima, low angle first, 10° ≤ 2θ ≤ 90°:
d [Å]	intensity
2.491	24.7
2.266	44.6
2.177	100.0
2.067	30.9
1.947	59.0
1.494	12.0
1.355	27.7
1.236	13.7
1.190	14.4
1.151	24.1

For DyTlHgO3, a structure optimized by DFT (GGA-PBE) gives the simulated powder diffractogram in this record (Cu Ka).

Crystal structure
```
data_DyTlHgO3
_chemical_formula_sum 'Dy4 Tl4 Hg4 O12'
_space_group_name_H-M_alt 'C m c m'
_space_group_IT_number 63
_space_group_name_Hall '-C 2c 2'
_cell_length_a 3.5229
_cell_length_b 13.4624
_cell_length_c 8.8992
_cell_angle_alpha 90.00
_cell_angle_beta 90.00
_cell_angle_gamma 90.00
loop_
_atom_site_label
_atom_site_type_symbol
_atom_site_fract_x
_atom_site_fract_y
_atom_site_fract_z
_atom_site_occupancy
Dy1 Dy 0.0000 0.0000 0.0000 1
Tl1 Tl 0.0000 0.3324 0.2500 1
Hg1 Hg 0.0000 0.3531 0.7500 1
O1 O 0.0000 0.0427 0.7500 1
O2 O 0.0000 0.3931 0.5228 1
```

Largest 10 diffraction maxima, low angle first, 10° ≤ 2θ ≤ 90°:
d [Å]	intensity
4.450	24.0
3.712	61.5
2.771	100.0
2.706	65.2
2.684	42.4
2.352	19.6
2.244	20.0
2.225	30.5
1.735	49.9
1.579	37.5

For Ho3Mg3GaIr2, a structure optimized by DFT (GGA-PBE) gives the simulated powder diffractogram in this record (Cu Ka).

Crystal structure
```
data_Ho3Mg3GaIr2
_chemical_formula_sum 'Ho3 Mg3 Ga1 Ir2'
_space_group_name_H-M_alt 'P -6 2 m'
_space_group_IT_number 189
_space_group_name_Hall 'P -6 -2'
_cell_length_a 7.2637
_cell_length_b 7.2637
_cell_length_c 4.1320
_cell_angle_alpha 90.00
_cell_angle_beta 90.00
_cell_angle_gamma 120.00
loop_
_atom_site_label
_atom_site_type_symbol
_atom_site_fract_x
_atom_site_fract_y
_atom_site_fract_z
_atom_site_occupancy
Ho1 Ho 0.0000 0.4208 0.0000 1
Mg1 Mg 0.0000 0.7499 0.5000 1
Ga1 Ga 0.0000 0.0000 0.0000 1
Ir1 Ir 0.3333 0.6667 0.5000 1
```

Largest 10 diffraction maxima, low angle first, 10° ≤ 2θ ≤ 90°:
d [Å]	intensity
6.291	48.0
3.632	33.2
2.728	100.0
2.503	90.5
2.378	23.3
2.097	26.0
2.066	22.7
2.061	20.3
1.745	19.5
1.363	28.2

For ZnPdPt2O6, a structure optimized by DFT (GGA-PBE) gives the simulated powder diffractogram in this record (Cu Ka).

Crystal structure
```
data_ZnPdPt2O6
_chemical_formula_sum 'Zn2 Pd2 Pt4 O12'
_space_group_name_H-M_alt 'C m m m'
_space_group_IT_number 65
_space_group_name_Hall '-C 2 2'
_cell_length_a 7.1269
_cell_length_b 9.9951
_cell_length_c 3.1741
_cell_angle_alpha 90.00
_cell_angle_beta 90.00
_cell_angle_gamma 90.00
loop_
_atom_site_label
_atom_site_type_symbol
_atom_site_fract_x
_atom_site_fract_y
_atom_site_fract_z
_atom_site_occupancy
Zn1 Zn 0.0000 0.0000 0.0000 1
Pd1 Pd 0.0000 0.5000 0.0000 1
Pt1 Pt 0.2500 0.2500 0.5000 1
O1 O 0.0000 0.1491 0.5000 1
O2 O 0.2123 0.3726 0.0000 1
```

Largest 10 diffraction maxima, low angle first, 10° ≤ 2θ ≤ 90°:
d [Å]	intensity
4.998	27.7
2.901	100.0
2.679	85.5
2.499	23.8
2.370	41.5
1.782	15.4
1.720	56.8
1.509	15.3
1.484	27.9
1.392	21.5

For Tl2OsBr6, a structure optimized by DFT (GGA-PBE) gives the simulated powder diffractogram in this record (Cu Ka).

Crystal structure
```
data_Tl2OsBr6
_chemical_formula_sum 'Tl4 Os2 Br12'
_space_group_name_H-M_alt 'P 4/m n c'
_space_group_IT_number 128
_space_group_name_Hall '-P 4 2n'
_cell_length_a 7.1838
_cell_length_b 7.1838
_cell_length_c 10.8088
_cell_angle_alpha 90.00
_cell_angle_beta 90.00
_cell_angle_gamma 90.00
loop_
_atom_site_label
_atom_site_type_symbol
_atom_site_fract_x
_atom_site_fract_y
_atom_site_fract_z
_atom_site_occupancy
Tl1 Tl 0.0000 0.5000 0.2500 1
Os1 Os 0.0000 0.0000 0.0000 1
Br1 Br 0.0000 0.0000 0.2320 1
Br2 Br 0.1957 0.2869 0.0000 1
```

Largest 10 diffraction maxima, low angle first, 10° ≤ 2θ ≤ 90°:
d [Å]	intensity
5.983	61.8
3.701	63.4
3.592	42.0
2.991	100.0
2.702	50.9
2.540	72.6
2.094	42.9
1.851	54.8
1.795	28.0
1.496	22.3